(1)
The following is a calculated powder X-ray diffraction pattern of Dy2RePbO8. It was derived from DFT lattice parameters and positions (PBE), using Cu Kα X-rays.
Kinematic intensities with the Lorentz-polarization factor, no thermal factor.

The 10 most intense peaks (2θ = 10–90°), sorted by position:
2θ 24.8, I 54
2θ 25.5, I 49
2θ 31.4, I 100
2θ 35.9, I 29
2θ 48.0, I 38
2θ 48.7, I 36
2θ 58.7, I 9
2θ 59.2, I 11
2θ 61.6, I 20
2θ 65.5, I 12

Unit cell a=5.009 b=6.937 c=5.013 alpha=90.00 beta=91.40 gamma=90.00
Element x y z (fractional)
Dy 0.000 0.245 0.000
Dy 0.000 0.755 0.000
Re 0.500 0.000 0.500
Pb 0.500 0.500 0.500
O 0.188 0.500 0.187
O 0.228 0.000 0.227
O 0.316 0.201 0.682
O 0.316 0.799 0.682
O 0.684 0.201 0.318
O 0.684 0.799 0.318
O 0.772 0.000 0.773
O 0.812 0.500 0.813

(2)
The following is a calculated powder X-ray diffraction pattern of LaH8Rh4. It was derived from DFT lattice parameters and positions (PBE), using Cu Kα X-rays.
Kinematic intensities with the Lorentz-polarization factor, no thermal factor.

The 10 most intense peaks (2θ = 10–90°), sorted by position:
2θ 17.9, I 100
2θ 19.2, I 35
2θ 21.4, I 28
2θ 35.9, I 61
2θ 36.3, I 62
2θ 37.0, I 21
2θ 38.9, I 48
2θ 39.0, I 47
2θ 43.6, I 72
2θ 43.8, I 35

Unit cell a=5.580 b=5.845 c=5.891 alpha=64.04 beta=61.99 gamma=61.66
Element x y z (fractional)
La 0.000 0.000 0.000
H 0.193 0.719 0.401
H 0.218 0.349 0.216
H 0.298 0.624 0.779
H 0.312 0.281 0.599
H 0.688 0.719 0.401
H 0.702 0.376 0.221
H 0.782 0.651 0.784
H 0.807 0.281 0.599
Rh 0.000 0.500 0.000
Rh 0.000 0.500 0.500
Rh 0.500 0.500 0.000
Rh 0.500 0.500 0.500

(3)
The following is a calculated powder X-ray diffraction pattern of Ho5Sb2Os. It was derived from DFT lattice parameters and positions (PBE), using Cu Kα X-rays.
Kinematic intensities with the Lorentz-polarization factor, no thermal factor.

The 10 most intense peaks (2θ = 10–90°), sorted by position:
2θ 12.8, I 60
2θ 16.8, I 70
2θ 17.9, I 41
2θ 22.3, I 56
2θ 31.4, I 91
2θ 31.8, I 100
2θ 35.0, I 85
2θ 38.8, I 27
2θ 40.8, I 25
2θ 45.2, I 78

Unit cell a=7.461 b=7.461 c=14.658 alpha=90.00 beta=90.00 gamma=135.03
Element x y z (fractional)
Ho 0.049 0.951 0.628
Ho 0.049 0.951 0.872
Ho 0.282 0.718 0.250
Ho 0.310 0.690 0.609
Ho 0.310 0.690 0.891
Ho 0.690 0.310 0.109
Ho 0.690 0.310 0.391
Ho 0.718 0.282 0.750
Ho 0.951 0.049 0.128
Ho 0.951 0.049 0.372
Sb 0.157 0.843 0.052
Sb 0.157 0.843 0.448
Sb 0.843 0.157 0.552
Sb 0.843 0.157 0.948
Os 0.191 0.809 0.750
Os 0.809 0.191 0.250

(4)
The following is a calculated powder X-ray diffraction pattern of NdTl2InSe4. It was derived from DFT lattice parameters and positions (PBE), using Cu Kα X-rays.
Kinematic intensities with the Lorentz-polarization factor, no thermal factor.

The 10 most intense peaks (2θ = 10–90°), sorted by position:
2θ 24.8, I 20
2θ 25.1, I 19
2θ 28.6, I 52
2θ 29.0, I 100
2θ 41.1, I 18
2θ 41.2, I 75
2θ 41.8, I 19
2θ 50.8, I 19
2θ 51.4, I 20
2θ 67.3, I 16

Unit cell a=8.771 b=8.771 c=8.771 alpha=120.97 beta=119.85 gamma=89.29
Element x y z (fractional)
Nd 0.000 0.000 0.000
Nd 0.500 0.000 0.500
Tl 0.000 0.500 0.500
Tl 0.500 0.000 0.000
Tl 0.500 0.500 0.000
Tl 0.500 0.500 0.500
In 0.000 0.000 0.500
In 0.000 0.500 0.000
Se 0.207 0.241 0.966
Se 0.224 0.759 0.466
Se 0.235 0.214 0.480
Se 0.235 0.755 0.020
Se 0.765 0.245 0.980
Se 0.765 0.786 0.520
Se 0.776 0.241 0.534
Se 0.793 0.759 0.034

(5)
The following is a calculated powder X-ray diffraction pattern of Li2Mg. It was derived from DFT lattice parameters and positions (PBE), using Cu Kα X-rays.
Kinematic intensities with the Lorentz-polarization factor, no thermal factor.

The 10 most intense peaks (2θ = 10–90°), sorted by position:
2θ 19.7, I 59
2θ 32.4, I 97
2θ 38.2, I 100
2θ 50.9, I 13
2θ 57.8, I 35
2θ 61.6, I 31
2θ 67.8, I 21
2θ 71.4, I 9
2θ 77.2, I 14
2θ 80.6, I 10

Unit cell a=5.528 b=5.528 c=5.528 alpha=60.00 beta=60.00 gamma=60.00
Element x y z (fractional)
Li 0.000 0.000 0.000
Li 0.000 0.000 0.500
Li 0.000 0.500 0.000
Li 0.500 0.000 0.000
Mg 0.375 0.375 0.375
Mg 0.625 0.625 0.625